# 1
Structure and simulated powder X-ray diffraction pattern of Ca2Al2Si3O12 (a crystal structure in the Materials Project, relaxed with GGA-PBE; CuKα).
Peak positions follow from Bragg's law for the DFT cell and can differ from measured ones.

Principal peaks in the range 5° ≤ 2θ ≤ 70°, most intense first:
| two_theta | I/Imax |
| --- | --- |
| 28.62 | 100 |
| 34.49 | 95 |
| 25.27 | 82 |
| 25.39 | 81 |
| 51.03 | 76 |
| 28.92 | 74 |
| 26.89 | 72 |
| 24.88 | 61 |

Structural model:
```
Ca2Al2Si3O12
1.0
5.517 0.000 0.000
0.000 4.705 0.000
-5.152 0.000 18.692
Ca Al Si O
4 4 6 24
direct
0.096 0.009 0.101
0.096 0.991 0.601
0.904 0.009 0.399
0.904 0.991 0.899
0.000 0.194 0.250
0.000 0.806 0.750
0.500 0.000 0.000
0.500 0.000 0.500
0.374 0.499 0.381
0.374 0.501 0.881
0.500 0.192 0.750
0.500 0.808 0.250
0.626 0.499 0.119
0.626 0.501 0.619
0.108 0.362 0.333
0.108 0.638 0.833
0.191 0.174 0.501
0.191 0.826 0.001
0.243 0.006 0.731
0.243 0.994 0.231
0.304 0.235 0.925
0.304 0.765 0.425
0.441 0.256 0.073
0.441 0.744 0.573
0.470 0.378 0.677
0.470 0.622 0.177
0.530 0.378 0.823
0.530 0.622 0.323
0.559 0.256 0.427
0.559 0.744 0.927
0.696 0.235 0.575
0.696 0.765 0.075
0.757 0.006 0.769
0.757 0.994 0.269
0.809 0.174 0.999
0.809 0.826 0.499
0.892 0.362 0.167
0.892 0.638 0.667
```

***

# 2
Structure and simulated powder X-ray diffraction pattern of CaAl2Si4O14 (a crystal structure in the Materials Project, relaxed with GGA-PBE; CuKα).
Peak positions follow from Bragg's law for the DFT cell and can differ from measured ones.

Principal peaks in the range 5° ≤ 2θ ≤ 70°, most intense first:
| two_theta | I/Imax |
| --- | --- |
| 9.16 | 100 |
| 25.17 | 38 |
| 12.64 | 36 |
| 23.96 | 19 |
| 21.00 | 17 |
| 26.79 | 12 |
| 19.53 | 11 |
| 26.42 | 10 |

Structural model:
```
CaAl2Si4O14
1.0
7.506 -6.657 0.000
7.506 6.657 0.000
-2.726 0.000 7.076
Ca Al Si O
2 4 8 28
direct
0.000 0.000 0.000
0.507 0.507 0.478
0.191 0.576 0.468
0.319 0.933 0.998
0.576 0.191 0.468
0.933 0.319 0.998
0.057 0.292 0.409
0.133 0.899 0.578
0.220 0.455 0.058
0.292 0.057 0.409
0.377 0.612 0.892
0.455 0.220 0.058
0.612 0.377 0.892
0.899 0.133 0.578
0.059 0.426 0.010
0.079 0.453 0.453
0.111 0.739 0.467
0.164 0.921 0.807
0.206 0.206 0.465
0.228 0.987 0.182
0.245 0.565 0.946
0.264 0.955 0.531
0.283 0.519 0.286
0.311 0.311 0.995
0.343 0.584 0.661
0.405 0.772 0.995
0.426 0.059 0.010
0.453 0.079 0.453
0.517 0.517 0.963
0.519 0.283 0.286
0.522 0.753 0.468
0.565 0.245 0.946
0.584 0.343 0.661
0.739 0.111 0.467
0.753 0.522 0.468
0.772 0.405 0.995
0.780 0.980 0.079
0.921 0.164 0.807
0.955 0.264 0.531
0.980 0.780 0.079
0.987 0.228 0.182
0.992 0.992 0.506
```

***

# 3
Structure and simulated powder X-ray diffraction pattern of CaAl2Si2O8 (a crystal structure in the Materials Project, relaxed with GGA-PBE; CuKα).
Peak positions follow from Bragg's law for the DFT cell and can differ from measured ones.

Principal peaks in the range 5° ≤ 2θ ≤ 70°, most intense first:
| two_theta | I/Imax |
| --- | --- |
| 27.70 | 100 |
| 26.93 | 34 |
| 21.86 | 29 |
| 27.53 | 28 |
| 28.43 | 25 |
| 24.47 | 23 |
| 26.18 | 21 |
| 29.95 | 20 |

Structural model:
```
CaAl2Si2O8
1.0
8.239 0.000 0.000
0.826 8.826 0.000
1.264 -0.048 9.491
Ca Al Si O
4 8 8 32
direct
0.190 0.081 0.076
0.268 0.422 0.499
0.732 0.578 0.501
0.810 0.919 0.924
0.024 0.779 0.555
0.111 0.727 0.048
0.381 0.432 0.810
0.499 0.940 0.689
0.501 0.060 0.311
0.619 0.568 0.190
0.889 0.273 0.952
0.976 0.221 0.445
0.001 0.445 0.206
0.107 0.070 0.706
0.404 0.762 0.445
0.476 0.745 0.953
0.524 0.255 0.047
0.596 0.238 0.555
0.893 0.930 0.294
0.999 0.555 0.794
0.005 0.066 0.330
0.009 0.701 0.899
0.025 0.121 0.870
0.067 0.376 0.353
0.090 0.205 0.588
0.132 0.559 0.139
0.184 0.467 0.752
0.228 0.699 0.508
0.292 0.824 0.021
0.295 0.011 0.715
0.373 0.916 0.359
0.396 0.282 0.930
0.433 0.133 0.154
0.446 0.595 0.870
0.476 0.215 0.432
0.496 0.387 0.641
0.504 0.613 0.359
0.524 0.785 0.568
0.554 0.405 0.130
0.567 0.867 0.846
0.604 0.718 0.070
0.627 0.084 0.641
0.705 0.989 0.285
0.708 0.176 0.979
0.772 0.301 0.492
0.816 0.533 0.248
0.868 0.441 0.861
0.910 0.795 0.412
0.933 0.624 0.647
0.975 0.879 0.130
0.991 0.299 0.101
0.995 0.934 0.670
```

***

# 4
Structure and simulated powder X-ray diffraction pattern of Ca2Al3Si3O13 (a crystal structure in the Materials Project, relaxed with GGA-PBE; CuKα).
Peak positions follow from Bragg's law for the DFT cell and can differ from measured ones.

Principal peaks in the range 5° ≤ 2θ ≤ 70°, most intense first:
| two_theta | I/Imax |
| --- | --- |
| 30.33 | 100 |
| 34.51 | 31 |
| 31.64 | 30 |
| 32.97 | 25 |
| 25.44 | 24 |
| 66.08 | 21 |
| 17.28 | 18 |
| 42.74 | 18 |

Structural model:
```
Ca2Al3Si3O13
1.0
8.919 0.000 0.000
0.000 5.656 0.000
-4.287 0.000 9.294
Ca Al Si O
4 6 6 26
direct
0.111 0.250 0.350
0.325 0.750 0.924
0.675 0.250 0.076
0.889 0.750 0.650
0.000 0.000 0.000
0.000 0.500 0.000
0.442 0.250 0.730
0.500 0.000 0.500
0.500 0.500 0.500
0.558 0.750 0.270
0.092 0.250 0.769
0.209 0.750 0.550
0.368 0.250 0.183
0.632 0.750 0.817
0.791 0.250 0.450
0.908 0.750 0.231
0.031 0.750 0.404
0.043 0.016 0.837
0.043 0.484 0.837
0.147 0.750 0.054
0.162 0.750 0.684
0.165 0.250 0.093
0.283 0.250 0.795
0.308 0.505 0.544
0.308 0.995 0.544
0.395 0.250 0.355
0.433 0.750 0.372
0.455 0.015 0.148
0.455 0.485 0.148
0.545 0.515 0.852
0.545 0.985 0.852
0.567 0.250 0.628
0.605 0.750 0.645
0.692 0.005 0.456
0.692 0.495 0.456
0.717 0.750 0.205
0.835 0.750 0.907
0.838 0.250 0.316
0.853 0.250 0.946
0.957 0.516 0.163
0.957 0.984 0.163
0.969 0.250 0.596
```